# In3Ag3Hg2Te8
Calculated powder diffractogram, copper Kα. Input: a crystal structure in the Materials Project, relaxed with GGA-PBE.
Intensities are scaled so that the largest is 100.

Structure:
```
16
Lattice="6.6204 0.0000 0.0000 0.0000 6.6204 0.0000 0.0000 0.0000 13.0061" Properties=species:S:1:pos:R:3 pbc="T T T"
In 0.0000 0.0000 0.0000
In 0.0000 3.3102 3.2414
In 3.3102 0.0000 9.7647
Ag 0.0000 3.3102 9.7613
Ag 3.3102 0.0000 3.2448
Ag 3.3102 3.3102 0.0000
Hg 0.0000 0.0000 6.5031
Hg 3.3102 3.3102 6.5031
Te 1.6403 1.6802 8.1741
Te 1.6617 4.9245 11.3847
Te 1.6802 4.9801 4.8320
Te 1.6960 1.6617 1.6214
Te 4.9245 4.9588 1.6214
Te 4.9403 1.6403 4.8320
Te 4.9588 1.6960 11.3847
Te 4.9801 4.9403 8.1741
```

The 10 most intense peaks (10° ≤ 2θ ≤ 90°), most intense first:
23.41°, I 100, hkl 1 1 2
38.82°, I 53, hkl 2 0 4
45.52°, I 34, hkl 3 1 2
38.46°, I 27, hkl 2 2 0
69.81°, I 18, hkl 4 2 4
46.15°, I 16, hkl 1 1 6
61.59°, I 13, hkl 3 1 6
55.52°, I 9, hkl 4 0 0
70.53°, I 9, hkl 2 2 8
74.53°, I 8, hkl 5 1 2